Entry 1:
Starting from a structure optimized by DFT (GGA+U), the powder diffraction line list of LiNi2P5O15 was simulated for Cu Kα, 1.54184 Å.

Structural model:
Cell: 5.3504 8.7703 13.4657 Å, 90.00 110.05 90.00°
Positions (direct):
Li1 0.0000 0.0014 0.0000
Li2 0.0000 0.9986 0.5000
Ni1 0.7597 0.2921 0.4954
Ni2 0.7597 0.7079 0.9954
Ni3 0.9766 0.2920 0.8985
Ni4 0.9766 0.7080 0.3985
P1 0.1788 0.1831 0.3593
P2 0.1788 0.8169 0.8593
P3 0.3358 0.4894 0.3090
P4 0.3358 0.5106 0.8090
P5 0.4088 0.4868 0.0883
P6 0.4088 0.5132 0.5883
P7 0.5571 0.1762 0.0403
P8 0.5571 0.8238 0.5403
P9 0.8708 0.0502 0.6997
P10 0.8708 0.9498 0.1997
O1 0.1043 0.0699 0.2590
O2 0.1043 0.9301 0.7590
O3 0.1386 0.4685 0.0038
O4 0.1386 0.5315 0.5038
O5 0.1445 0.3453 0.3022
O6 0.1445 0.6547 0.8022
O7 0.1785 0.3699 0.8090
O8 0.1785 0.6301 0.3090
O9 0.2669 0.1455 0.9791
O10 0.2669 0.8545 0.4791
O11 0.3703 0.4754 0.1984
O12 0.3703 0.5246 0.6984
O13 0.4636 0.1512 0.4233
O14 0.4636 0.8488 0.9233
O15 0.5758 0.3761 0.5897
O16 0.5758 0.6239 0.0897
O17 0.5922 0.3391 0.0957
O18 0.5922 0.6609 0.5957
O19 0.6070 0.4698 0.3927
O20 0.6070 0.5302 0.8927
O21 0.6248 0.0641 0.1407
O22 0.6248 0.9359 0.6407
O23 0.7611 0.1700 0.9865
O24 0.7611 0.8300 0.4865
O25 0.7937 0.1410 0.7786
O26 0.7937 0.8590 0.2786
O27 0.9538 0.1247 0.6145
O28 0.9538 0.8753 0.1145
O29 0.9746 0.1764 0.4133
O30 0.9746 0.8236 0.9133

Top 12 peaks for 2θ = 15–90°, by angle:
- (1 0 -2), 18.40 deg, rel. 24
- (1 1 -1), 19.46 deg, rel. 25
- (1 1 0), 20.37 deg, rel. 34
- (1 1 -2), 21.03 deg, rel. 19
- (0 2 2), 24.66 deg, rel. 100
- (1 0 2), 26.16 deg, rel. 35
- (1 2 0), 26.98 deg, rel. 22
- (1 1 2), 28.10 deg, rel. 14
- (0 2 3), 29.41 deg, rel. 39
- (1 2 2), 33.30 deg, rel. 17
- (1 2 -4), 34.56 deg, rel. 21
- (1 3 0), 35.49 deg, rel. 28

Entry 2:
Starting from a structure optimized by DFT (GGA+U), the powder diffraction line list of Li5Fe2P2C2O14 was simulated for Cu Kα, 1.54184 Å.

Structural model:
Cell: 9.3837 6.4682 10.1614 Å, 90.00 116.56 90.00°
Positions (direct):
Li1 0.0000 0.0057 0.0000
Li2 0.0000 0.9943 0.5000
Li3 0.1862 0.1827 0.8176
Li4 0.1862 0.8173 0.3176
Li5 0.6355 0.2431 0.2942
Li6 0.6355 0.7569 0.7942
Li7 0.6356 0.2421 0.7963
Li8 0.6356 0.7579 0.2963
Li9 0.7961 0.4910 0.1245
Li10 0.7961 0.5090 0.6245
Fe1 0.2226 0.5003 0.1178
Fe2 0.2226 0.4997 0.6178
Fe3 0.5637 0.0014 0.9962
Fe4 0.5637 0.9986 0.4962
P1 0.3094 0.0060 0.1220
P2 0.3094 0.9940 0.6220
P3 0.4767 0.4949 0.9768
P4 0.4767 0.5051 0.4768
C1 0.8595 0.0165 0.6982
C2 0.8595 0.9835 0.1982
C3 0.9331 0.4986 0.9263
C4 0.9331 0.5014 0.4263
O1 0.0555 0.4939 0.8988
O2 0.0555 0.5061 0.3988
O3 0.2001 0.1813 0.6165
O4 0.2001 0.8187 0.1165
O5 0.2069 0.1945 0.1243
O6 0.2069 0.8055 0.6243
O7 0.3196 0.4641 0.8358
O8 0.3196 0.5359 0.3358
O9 0.3364 0.0173 0.9834
O10 0.3364 0.9827 0.4834
O11 0.4368 0.4990 0.6114
O12 0.4368 0.5010 0.1114
O13 0.4719 0.0068 0.7598
O14 0.4719 0.9932 0.2598
O15 0.5749 0.3125 0.4775
O16 0.5749 0.6875 0.9775
O17 0.5969 0.3169 0.9973
O18 0.5969 0.6831 0.4973
O19 0.7351 0.0016 0.2268
O20 0.7351 0.9984 0.7268
O21 0.7888 0.4961 0.8214
O22 0.7888 0.5039 0.3214
O23 0.8303 0.0070 0.5601
O24 0.8303 0.9930 0.0601
O25 0.9654 0.4930 0.5652
O26 0.9654 0.5070 0.0652
O27 0.9970 0.0445 0.8033
O28 0.9970 0.9555 0.3033

Top 12 peaks for 2θ = 15–90°, by angle:
- (1 1 0), 17.31 deg, rel. 33
- (0 0 2), 19.53 deg, rel. 44
- (2 0 -2), 21.46 deg, rel. 64
- (1 1 -2), 22.33 deg, rel. 16
- (2 1 -2), 25.54 deg, rel. 23
- (1 0 2), 26.14 deg, rel. 37
- (0 2 0), 27.58 deg, rel. 100
- (2 0 2), 35.00 deg, rel. 20
- (1 0 -4), 36.04 deg, rel. 26
- (4 1 -2), 40.93 deg, rel. 23
- (1 0 4), 45.78 deg, rel. 16
- (0 4 0), 56.93 deg, rel. 19

Entry 3:
Starting from a structure optimized by DFT (GGA+U), the powder diffraction line list of LiCoPO4 was simulated for Cu Kα, 1.54184 Å.

Structural model:
Cell: 8.0692 18.7918 5.0666 Å, 90.00 90.00 90.00°
Positions (direct):
Li1 0.0656 0.0501 0.0000
Li2 0.1384 0.2660 0.8218
Li3 0.3616 0.7660 0.3218
Li4 0.4344 0.5501 0.5000
Li5 0.5656 0.4499 0.0000
Li6 0.6384 0.2340 0.8218
Li7 0.8616 0.7340 0.3218
Li8 0.9344 0.9499 0.5000
Co1 0.0015 0.4372 0.3155
Co2 0.1713 0.8387 0.8056
Co3 0.3287 0.3387 0.3056
Co4 0.4985 0.9372 0.8155
Co5 0.5015 0.0628 0.3155
Co6 0.6713 0.6613 0.8056
Co7 0.8287 0.1613 0.3056
Co8 0.9985 0.5628 0.8155
P1 0.2010 0.1807 0.3136
P2 0.2350 0.4285 0.7923
P3 0.2650 0.9285 0.2923
P4 0.2990 0.6807 0.8136
P5 0.7010 0.3193 0.3136
P6 0.7350 0.0715 0.7923
P7 0.7650 0.5715 0.2923
P8 0.7990 0.8193 0.8136
O1 0.0504 0.1405 0.1820
O2 0.0791 0.4688 0.6756
O3 0.1069 0.9691 0.2329
O4 0.1397 0.6393 0.7406
O5 0.1721 0.1889 0.6069
O6 0.2095 0.4214 0.0993
O7 0.2129 0.2554 0.1740
O8 0.2331 0.3531 0.6666
O9 0.2669 0.8531 0.1666
O10 0.2871 0.7554 0.6740
O11 0.2905 0.9214 0.5993
O12 0.3279 0.6889 0.1069
O13 0.3603 0.1393 0.2406
O14 0.3931 0.4691 0.7329
O15 0.4209 0.9688 0.1756
O16 0.4496 0.6405 0.6820
O17 0.5504 0.3595 0.1820
O18 0.5791 0.0312 0.6756
O19 0.6069 0.5309 0.2329
O20 0.6397 0.8607 0.7406
O21 0.6721 0.3111 0.6069
O22 0.7095 0.0786 0.0993
O23 0.7129 0.2446 0.1740
O24 0.7331 0.1469 0.6666
O25 0.7669 0.6469 0.1666
O26 0.7871 0.7446 0.6740
O27 0.7905 0.5786 0.5993
O28 0.8279 0.8111 0.1069
O29 0.8603 0.3607 0.2406
O30 0.8931 0.0309 0.7329
O31 0.9209 0.5312 0.1756
O32 0.9496 0.8595 0.6820

Top 12 peaks for 2θ = 15–90°, by angle:
- (1 3 0), 17.93 deg, rel. 49
- (0 1 1), 18.13 deg, rel. 100
- (1 1 1), 21.24 deg, rel. 20
- (1 4 0), 21.89 deg, rel. 19
- (2 2 0), 24.00 deg, rel. 38
- (1 4 1), 28.17 deg, rel. 58
- (0 5 1), 29.59 deg, rel. 14
- (2 3 1), 31.74 deg, rel. 42
- (0 0 2), 35.44 deg, rel. 42
- (2 5 1), 37.20 deg, rel. 30
- (3 2 1), 39.11 deg, rel. 28
- (2 5 3), 64.78 deg, rel. 15